(1)
Computed X-ray powder pattern
Compound: Pu5Ru2Rh2
Radiation: Cu Kα, 1.54184 Å
Structure: a crystal structure in Alexandria, relaxed with GGA-PBE
Lines closer than 0.1° are merged.

Crystal structure
```
data_Pu5Ru2Rh2
_chemical_formula_sum 'Pu20 Ru8 Rh8'
_space_group_name_H-M_alt 'I m m a'
_space_group_IT_number 74
_space_group_name_Hall '-I 2b 2'
_cell_length_a 4.716
_cell_length_b 17.053
_cell_length_c 8.646
_cell_angle_alpha 90.00
_cell_angle_beta 90.00
_cell_angle_gamma 90.00
loop_
_atom_site_label
_atom_site_fract_x
_atom_site_fract_y
_atom_site_fract_z
Pu1 0.000 0.112 0.120
Pu2 0.000 0.155 0.596
Pu3 0.000 0.250 0.211
Ru1 0.000 0.000 0.500
Ru2 0.000 0.250 0.861
Rh1 0.000 0.035 0.830
```

Main lines, sorted by position (10 to 90 degrees two-theta):
- hkl 1 1 2, 28.50°, d = 3.132 Å, I 100
- hkl 1 3 2, 32.20°, d = 2.780 Å, I 26
- hkl 1 0 3, 36.54°, d = 2.459 Å, I 37
- hkl 2 0 0, 38.17°, d = 2.358 Å, I 76
- hkl 0 7 1, 38.41°, d = 2.344 Å, I 93
- hkl 1 5 2, 38.67°, d = 2.328 Å, I 65
- hkl 0 8 0, 42.41°, d = 2.131 Å, I 21
- hkl 0 4 4, 47.14°, d = 1.928 Å, I 20
- hkl 2 7 1, 55.25°, d = 1.663 Å, I 25
- hkl 2 11 3, 81.46°, d = 1.181 Å, I 20

(2)
Computed X-ray powder pattern
Compound: AlGa6Ag
Radiation: Cu Kα, 1.54184 Å
Structure: a crystal structure in Alexandria, relaxed with GGA-PBE
Lines closer than 0.1° are merged.

Crystal structure
```
data_AlGa6Ag
_chemical_formula_sum 'Al1 Ga6 Ag1'
_space_group_name_H-M_alt 'P -1'
_space_group_IT_number 2
_cell_length_a 4.788
_cell_length_b 5.882
_cell_length_c 6.711
_cell_angle_alpha 100.04
_cell_angle_beta 110.24
_cell_angle_gamma 111.55
loop_
_space_group_symop_operation_xyz
'x,y,z'
'-x,-y,-z'
loop_
_atom_site_label
_atom_site_fract_x
_atom_site_fract_y
_atom_site_fract_z
Al1 0.000 0.000 0.000
Ga1 0.170 0.943 0.392
Ga2 0.357 0.735 0.968
Ga3 0.401 0.521 0.280
Ag1 0.000 0.500 0.500
```

Main lines, sorted by position (10 to 90 degrees two-theta):
- hkl 1 0 1, 32.24°, d = 2.776 Å, I 55
- hkl 0 2 -1, 32.89°, d = 2.723 Å, I 58
- hkl -1 1 2, 33.48°, d = 2.676 Å, I 60
- hkl 1 1 0, 34.29°, d = 2.615 Å, I 30
- hkl -1 2 1, 35.97°, d = 2.497 Å, I 28
- hkl -2 1 1, 37.62°, d = 2.391 Å, I 100
- hkl 1 1 -3, 42.55°, d = 2.125 Å, I 47
- hkl 1 -2 2, 42.78°, d = 2.114 Å, I 44
- hkl 1 0 2, 45.70°, d = 1.985 Å, I 30
- hkl -1 1 3, 46.99°, d = 1.934 Å, I 42

(3)
Computed X-ray powder pattern
Compound: CrAg2Te
Radiation: Cu Kα, 1.54184 Å
Structure: a crystal structure in Alexandria, relaxed with GGA-PBE
Lines closer than 0.1° are merged.

Crystal structure
```
data_CrAg2Te
_chemical_formula_sum 'Cr2 Ag4 Te2'
_space_group_name_H-M_alt 'C 1 2/m 1'
_space_group_IT_number 12
_cell_length_a 10.467
_cell_length_b 4.075
_cell_length_c 4.078
_cell_angle_alpha 90.00
_cell_angle_beta 112.82
_cell_angle_gamma 90.00
loop_
_space_group_symop_operation_xyz
'x,y,z'
'-x,-y,-z'
'-x,y,-z'
'x,-y,z'
'x+1/2,y+1/2,z'
'-x+1/2,-y+1/2,-z'
'-x+1/2,y+1/2,-z'
'x+1/2,-y+1/2,z'
loop_
_atom_site_label
_atom_site_fract_x
_atom_site_fract_y
_atom_site_fract_z
Cr1 0.000 0.000 0.000
Ag1 0.250 0.000 0.750
Te1 0.000 0.500 0.500
```

Main lines, sorted by position (10 to 90 degrees two-theta):
- hkl 1 1 0, 23.70°, d = 3.755 Å, I 9
- hkl 1 1 1, 36.31°, d = 2.474 Å, I 100
- hkl 4 0 0, 37.28°, d = 2.412 Å, I 23
- hkl 0 2 0, 44.45°, d = 2.038 Å, I 28
- hkl 4 2 0, 59.35°, d = 1.557 Å, I 17
- hkl 6 0 -2, 59.42°, d = 1.556 Å, I 6
- hkl 2 2 -2, 64.68°, d = 1.441 Å, I 9
- hkl 5 1 1, 66.60°, d = 1.404 Å, I 16
- hkl 1 3 1, 76.48°, d = 1.246 Å, I 16
- hkl 3 3 -1, 76.53°, d = 1.245 Å, I 5

(4)
Computed X-ray powder pattern
Compound: Sc3Si5
Radiation: Cu Kα, 1.54184 Å
Structure: a crystal structure in Alexandria, relaxed with GGA-PBE
Lines closer than 0.1° are merged.

Crystal structure
```
data_Sc3Si5
_chemical_formula_sum 'Sc24 Si40'
_space_group_name_H-M_alt 'F d d 2'
_space_group_IT_number 43
_space_group_name_Hall 'F 2 -2d'
_cell_length_a 5.333
_cell_length_b 16.023
_cell_length_c 12.731
_cell_angle_alpha 90.00
_cell_angle_beta 90.00
_cell_angle_gamma 90.00
loop_
_atom_site_label
_atom_site_fract_x
_atom_site_fract_y
_atom_site_fract_z
Sc1 0.000 0.000 0.000
Sc2 0.015 0.331 0.994
Si1 0.000 0.000 0.549
Si2 0.000 0.165 0.913
Si3 0.058 0.316 0.598
```

Main lines, sorted by position (10 to 90 degrees two-theta):
- hkl 1 3 3, 31.73°, d = 2.820 Å, I 39
- hkl 0 6 2, 36.51°, d = 2.461 Å, I 100
- hkl 1 3 5, 42.85°, d = 2.111 Å, I 44
- hkl 2 6 0, 48.24°, d = 1.887 Å, I 38
- hkl 1 3 7, 56.14°, d = 1.638 Å, I 14
- hkl 1 9 3, 58.89°, d = 1.568 Å, I 7
- hkl 1 9 5, 66.46°, d = 1.407 Å, I 17
- hkl 1 9 7, 77.10°, d = 1.237 Å, I 13
- hkl 2 12 2, 82.14°, d = 1.173 Å, I 7
- hkl 4 6 2, 82.23°, d = 1.172 Å, I 7